No. 1
Structure and calculated X-ray diffraction stick pattern of NdSm2Ho4Mg (a structure optimized by DFT (GGA-PBE); Cu Kα (weighted mean of Kα1 and Kα2)).
Peak positions follow from Bragg's law for the DFT cell and can differ from measured ones.

Largest 12 diffraction maxima, by angle, 10 to 90 degrees two-theta:
- 2θ = 30.96°, 2.889 Å, I = 100.0, hkl 1 1 2
- 2θ = 35.48°, 2.530 Å, I = 17.3, hkl 0 0 4
- 2θ = 36.11°, 2.488 Å, I = 33.2, hkl 2 0 0
- 2θ = 51.52°, 1.774 Å, I = 24.0, hkl 2 0 4
- 2θ = 51.98°, 1.759 Å, I = 11.8, hkl 2 2 0
- 2θ = 60.91°, 1.521 Å, I = 14.4, hkl 1 1 6
- 2θ = 61.74°, 1.502 Å, I = 28.0, hkl 3 1 2
- 2θ = 64.52°, 1.444 Å, I = 12.3, hkl 2 2 4
- 2θ = 84.14°, 1.151 Å, I = 11.7, hkl 3 1 6
- 2θ = 84.88°, 1.142 Å, I = 5.8, hkl 3 3 2
- 2θ = 86.27°, 1.128 Å, I = 5.5, hkl 2 0 8
- 2θ = 87.36°, 1.116 Å, I = 5.7, hkl 4 0 4

Structural model:
```
data_NdSm2Ho4Mg
_chemical_formula_sum 'Nd1 Sm2 Ho4 Mg1'
_space_group_name_H-M_alt 'P 4/m m m'
_space_group_IT_number 123
_space_group_name_Hall '-P 4 2'
_cell_length_a 4.9754
_cell_length_b 4.9754
_cell_length_c 10.1200
_cell_angle_alpha 90.00
_cell_angle_beta 90.00
_cell_angle_gamma 90.00
loop_
_atom_site_label
_atom_site_fract_x
_atom_site_fract_y
_atom_site_fract_z
Nd1 0.0000 0.0000 0.0000
Sm1 0.0000 0.0000 0.5000
Sm2 0.5000 0.5000 0.0000
Ho1 0.0000 0.5000 0.2539
Mg1 0.5000 0.5000 0.5000
```

---

No. 2
Structure and calculated X-ray diffraction stick pattern of Nd2Sm4Ho2Mg (a structure optimized by DFT (GGA-PBE); Cu Kα (weighted mean of Kα1 and Kα2)).
Peak positions follow from Bragg's law for the DFT cell and can differ from measured ones.

Largest 12 diffraction maxima, by angle, 10 to 90 degrees two-theta:
- 2θ = 11.97°, 7.394 Å, I = 29.3, hkl 0 0 1
- 2θ = 24.07°, 3.697 Å, I = 22.8, hkl 0 0 2
- 2θ = 25.70°, 3.466 Å, I = 42.5, hkl 1 1 2
- 2θ = 30.54°, 2.927 Å, I = 45.4, hkl 0 2 -1
- 2θ = 30.91°, 2.893 Å, I = 48.3, hkl 1 -1 2
- 2θ = 31.11°, 2.875 Å, I = 29.6, hkl -1 1 1
- 2θ = 31.40°, 2.849 Å, I = 55.7, hkl 2 2 1
- 2θ = 31.59°, 2.832 Å, I = 55.3, hkl 2 0 0
- 2θ = 31.82°, 2.812 Å, I = 100.0, hkl 1 1 -2
- 2θ = 32.62°, 2.745 Å, I = 54.7, hkl 0 2 1
- 2θ = 33.37°, 2.685 Å, I = 31.6, hkl 2 0 2
- 2θ = 36.36°, 2.471 Å, I = 44.6, hkl 1 1 3

Structural model:
```
data_Nd2Sm4Ho2Mg
_chemical_formula_sum 'Nd2 Sm4 Ho2 Mg1'
_space_group_name_H-M_alt 'P -1'
_space_group_IT_number 2
_cell_length_a 6.6700
_cell_length_b 6.8930
_cell_length_c 7.7900
_cell_angle_alpha 86.61
_cell_angle_beta 72.37
_cell_angle_gamma 63.26
loop_
_space_group_symop_operation_xyz
'x,y,z'
'-x,-y,-z'
loop_
_atom_site_label
_atom_site_fract_x
_atom_site_fract_y
_atom_site_fract_z
Nd1 0.0315 0.1643 0.3165
Sm1 0.0342 0.6576 0.1517
Sm2 0.4982 0.3759 0.7185
Ho1 0.4063 0.8615 0.8983
Mg1 0.5000 0.0000 0.5000
```

---

No. 3
Structure and calculated X-ray diffraction stick pattern of Nd4SmHo2Mg (a structure optimized by DFT (GGA-PBE); Cu Kα (weighted mean of Kα1 and Kα2)).
Peak positions follow from Bragg's law for the DFT cell and can differ from measured ones.

Largest 12 diffraction maxima, by angle, 10 to 90 degrees two-theta:
- 2θ = 19.09°, 4.649 Å, I = 6.7, hkl 1 0 1
- 2θ = 24.62°, 3.616 Å, I = 5.4, hkl 1 1 1
- 2θ = 31.09°, 2.876 Å, I = 53.2, hkl 2 0 0
- 2θ = 31.58°, 2.833 Å, I = 100.0, hkl 1 1 2
- 2θ = 44.55°, 2.034 Å, I = 19.8, hkl 2 2 0
- 2θ = 45.98°, 1.974 Å, I = 8.3, hkl 0 0 4
- 2θ = 55.63°, 1.652 Å, I = 40.3, hkl 3 1 2
- 2θ = 56.55°, 1.627 Å, I = 18.0, hkl 2 0 4
- 2θ = 65.95°, 1.416 Å, I = 11.3, hkl 2 2 4
- 2θ = 73.64°, 1.286 Å, I = 8.9, hkl 4 2 0
- 2θ = 73.91°, 1.282 Å, I = 8.8, hkl 3 3 2
- 2θ = 76.01°, 1.252 Å, I = 6.7, hkl 1 1 6

Structural model:
```
data_Nd4SmHo2Mg
_chemical_formula_sum 'Nd4 Sm1 Ho2 Mg1'
_space_group_name_H-M_alt 'P m m m'
_space_group_IT_number 47
_cell_length_a 5.7479
_cell_length_b 5.7576
_cell_length_c 7.8953
_cell_angle_alpha 90.00
_cell_angle_beta 90.00
_cell_angle_gamma 90.00
loop_
_space_group_symop_operation_xyz
'x,y,z'
'-x,-y,-z'
'-x,-y,z'
'x,y,-z'
'x,-y,-z'
'-x,y,z'
'-x,y,-z'
'x,-y,z'
loop_
_atom_site_label
_atom_site_fract_x
_atom_site_fract_y
_atom_site_fract_z
Nd1 0.0000 0.0000 0.2333
Nd2 0.5000 0.5000 0.2347
Sm1 0.0000 0.5000 0.5000
Ho1 0.0000 0.5000 0.0000
Ho2 0.5000 0.0000 0.5000
Mg1 0.5000 0.0000 0.0000
```

---

No. 4
Structure and calculated X-ray diffraction stick pattern of Nd2SmHoMg (a structure optimized by DFT (GGA-PBE); Cu Kα (weighted mean of Kα1 and Kα2)).
Peak positions follow from Bragg's law for the DFT cell and can differ from measured ones.

Largest 12 diffraction maxima, by angle, 10 to 90 degrees two-theta:
- 2θ = 12.03°, 7.357 Å, I = 11.0, hkl 0 0 1
- 2θ = 16.92°, 5.239 Å, I = 19.3, hkl 0 1 1
- 2θ = 24.19°, 3.679 Å, I = 11.7, hkl 0 0 2
- 2θ = 30.02°, 2.977 Å, I = 37.2, hkl 2 0 0
- 2θ = 30.78°, 2.905 Å, I = 100.0, hkl 1 2 1
- 2θ = 30.99°, 2.886 Å, I = 48.6, hkl 1 1 2
- 2θ = 34.66°, 2.588 Å, I = 12.3, hkl 2 1 1
- 2θ = 37.51°, 2.398 Å, I = 10.6, hkl 1 2 2
- 2θ = 52.39°, 1.746 Å, I = 11.0, hkl 0 3 3
- 2θ = 53.78°, 1.705 Å, I = 20.9, hkl 3 2 1
- 2θ = 53.91°, 1.701 Å, I = 10.3, hkl 3 1 2
- 2θ = 58.36°, 1.581 Å, I = 11.0, hkl 2 4 0

Structural model:
```
data_Nd2SmHoMg
_chemical_formula_sum 'Nd4 Sm2 Ho2 Mg2'
_space_group_name_H-M_alt 'P m m a'
_space_group_IT_number 51
_cell_length_a 5.9541
_cell_length_b 7.4627
_cell_length_c 7.3573
_cell_angle_alpha 90.00
_cell_angle_beta 90.00
_cell_angle_gamma 90.00
loop_
_space_group_symop_operation_xyz
'x,y,z'
'-x,-y,-z'
'-x+1/2,-y,z'
'x+1/2,y,-z'
'x+1/2,-y,-z'
'-x+1/2,y,z'
'-x,y,-z'
'x,-y,z'
loop_
_atom_site_label
_atom_site_fract_x
_atom_site_fract_y
_atom_site_fract_z
Nd1 0.2500 0.2172 0.1890
Sm1 0.2500 0.0000 0.6547
Ho1 0.2500 0.5000 0.8705
Mg1 0.0000 0.5000 0.5000
```

---

No. 5
Structure and calculated X-ray diffraction stick pattern of Tb6NdHo2Mg (a structure optimized by DFT (GGA-PBE); Cu Kα (weighted mean of Kα1 and Kα2)).
Peak positions follow from Bragg's law for the DFT cell and can differ from measured ones.

Largest 12 diffraction maxima, by angle, 10 to 90 degrees two-theta:
- 2θ = 27.82°, 3.207 Å, I = 17.1, hkl 0 6 0
- 2θ = 27.94°, 3.193 Å, I = 11.7, hkl 2 4 -1
- 2θ = 28.71°, 3.109 Å, I = 18.0, hkl 0 2 2
- 2θ = 28.97°, 3.082 Å, I = 23.3, hkl 1 5 1
- 2θ = 30.72°, 2.911 Å, I = 14.2, hkl 1 3 -2
- 2θ = 31.72°, 2.821 Å, I = 100.0, hkl 3 3 -1
- 2θ = 32.37°, 2.766 Å, I = 49.7, hkl 3 1 1
- 2θ = 33.00°, 2.714 Å, I = 67.5, hkl 0 4 2
- 2θ = 33.27°, 2.693 Å, I = 25.5, hkl 2 6 0
- 2θ = 33.84°, 2.649 Å, I = 28.1, hkl 1 7 0
- 2θ = 46.50°, 1.953 Å, I = 11.5, hkl 3 1 -3
- 2θ = 55.45°, 1.657 Å, I = 15.9, hkl 3 3 3

Structural model:
```
data_Tb6NdHo2Mg
_chemical_formula_sum 'Tb24 Nd4 Ho8 Mg4'
_space_group_name_H-M_alt 'C 1 2/c 1'
_space_group_IT_number 15
_cell_length_a 10.0252
_cell_length_b 19.2403
_cell_length_c 6.6472
_cell_angle_alpha 90.00
_cell_angle_beta 98.38
_cell_angle_gamma 90.00
loop_
_space_group_symop_operation_xyz
'x,y,z'
'-x,-y,-z'
'-x,y,-z+1/2'
'x,-y,z+1/2'
'x+1/2,y+1/2,z'
'-x+1/2,-y+1/2,-z'
'-x+1/2,y+1/2,-z+1/2'
'x+1/2,-y+1/2,z+1/2'
loop_
_atom_site_label
_atom_site_fract_x
_atom_site_fract_y
_atom_site_fract_z
Tb1 0.0727 0.1436 0.0405
Tb2 0.1034 0.4157 0.9804
Tb3 0.1718 0.2578 0.7135
Nd1 0.0000 0.0118 0.7500
Ho1 0.2415 0.4156 0.4957
Mg1 0.0000 0.2919 0.2500
```

---

No. 6
Structure and calculated X-ray diffraction stick pattern of Nd2YHoMg (a structure optimized by DFT (GGA-PBE); Cu Kα (weighted mean of Kα1 and Kα2)).
Peak positions follow from Bragg's law for the DFT cell and can differ from measured ones.

Largest 12 diffraction maxima, by angle, 10 to 90 degrees two-theta:
- 2θ = 11.66°, 7.591 Å, I = 14.3, hkl 0 1 0
- 2θ = 17.02°, 5.209 Å, I = 12.6, hkl 0 1 1
- 2θ = 24.87°, 3.581 Å, I = 14.0, hkl 0 0 2
- 2θ = 29.09°, 3.070 Å, I = 17.4, hkl 1 0 2
- 2θ = 29.97°, 2.981 Å, I = 36.3, hkl 2 0 0
- 2θ = 30.59°, 2.923 Å, I = 100.0, hkl 1 2 1
- 2θ = 31.44°, 2.846 Å, I = 39.1, hkl 1 1 2
- 2θ = 39.32°, 2.291 Å, I = 12.2, hkl 2 0 2
- 2θ = 40.73°, 2.215 Å, I = 22.2, hkl 1 0 3
- 2θ = 52.71°, 1.737 Å, I = 12.6, hkl 0 3 3
- 2θ = 53.60°, 1.710 Å, I = 20.6, hkl 3 2 1
- 2θ = 54.89°, 1.673 Å, I = 14.7, hkl 2 2 3

Structural model:
```
data_Nd2YHoMg
_chemical_formula_sum 'Nd4 Y2 Ho2 Mg2'
_space_group_name_H-M_alt 'P m m a'
_space_group_IT_number 51
_cell_length_a 5.9628
_cell_length_b 7.5906
_cell_length_c 7.1613
_cell_angle_alpha 90.00
_cell_angle_beta 90.00
_cell_angle_gamma 90.00
loop_
_space_group_symop_operation_xyz
'x,y,z'
'-x,-y,-z'
'-x+1/2,-y,z'
'x+1/2,y,-z'
'x+1/2,-y,-z'
'-x+1/2,y,z'
'-x,y,-z'
'x,-y,z'
loop_
_atom_site_label
_atom_site_fract_x
_atom_site_fract_y
_atom_site_fract_z
Nd1 0.2500 0.2126 0.1953
Y1 0.2500 0.5000 0.8776
Ho1 0.2500 0.0000 0.6545
Mg1 0.0000 0.5000 0.5000
```